# AcHo12Tm6
Simulated X-ray diffraction stick pattern, λ = 1.5418 Å (Cu Kα). Input: a DFT-relaxed cell (GGA-PBE, Alexandria).
Peak positions follow from Bragg's law for the DFT cell and can differ from measured ones.

Structure:
a = 14.7323 Å, b = 14.7323 Å, c = 10.3146 Å
α = 90.00°, β = 90.00°, γ = 120.00°
Space group R-3m (No. 166, hexagonal axes)
Unique sites:
Ac 0.0000 0.0000 0.0000 [3 per cell]
Ho 0.0000 0.3880 0.5000 [18 per cell]
Ho 0.0751 0.1503 0.3043 [18 per cell]
Tm 0.0494 0.5247 0.2232 [18 per cell]

Principal peaks in the range 10° ≤ 2θ ≤ 90°, low angle first:
index	2θ (°)	d (Å)	I_rel
2 1 1	20.33	4.368	23
1 3 1	26.63	3.347	100
1 1 3	28.65	3.116	97
3 2 1	31.78	2.816	80
0 3 3	33.52	2.674	38
2 3 2	35.26	2.546	79
0 2 4	37.62	2.391	48
2 4 1	38.34	2.348	35
5 0 2	39.40	2.287	74
5 5 0	63.11	1.473	27



# Ag2Pt3
Simulated X-ray diffraction stick pattern, λ = 1.5418 Å (Cu Kα). Input: a DFT-relaxed cell (GGA-PBE, Alexandria).
Peak positions follow from Bragg's law for the DFT cell and can differ from measured ones.

Structure:
a = 2.8019 Å, b = 2.8019 Å, c = 20.8583 Å
α = 90.00°, β = 90.00°, γ = 90.00°
Space group I4/mmm (No. 139)
Unique sites:
Ag 0.0000 0.0000 0.1973 [4 per cell]
Pt 0.0000 0.0000 0.0000 [2 per cell]
Pt 0.0000 0.0000 0.4042 [4 per cell]

Principal peaks in the range 10° ≤ 2θ ≤ 90°, low angle first:
index	2θ (°)	d (Å)	I_rel
1 0 5	38.71	2.326	100
0 0 10	43.38	2.086	18
1 0 7	44.38	2.041	5
1 1 0	45.80	1.981	31
1 1 2	46.66	1.946	2
1 1 10	64.91	1.437	21
2 0 0	66.77	1.401	10
1 0 15	76.47	1.246	13
2 1 5	79.94	1.200	24
2 0 10	83.04	1.163	11



# AlTl2CdSe4
Simulated X-ray diffraction stick pattern, λ = 1.5418 Å (Cu Kα). Input: a DFT-relaxed cell (GGA-PBE, Alexandria).
Peak positions follow from Bragg's law for the DFT cell and can differ from measured ones.

Structure:
a = 9.1751 Å, b = 9.7382 Å, c = 7.0076 Å
α = 90.00°, β = 129.99°, γ = 90.00°
Space group C2 (No. 5)
Unique sites:
Al 0.0000 0.0000 0.0000 [2 per cell]
Tl 0.0000 0.2863 0.5000 [2 per cell]
Tl 0.0000 0.5706 0.0000 [2 per cell]
Cd 0.0000 0.7589 0.5000 [2 per cell]
Se 0.2017 0.8680 0.9620 [4 per cell]
Se 0.2135 0.1058 0.4074 [4 per cell]

Principal peaks in the range 10° ≤ 2θ ≤ 90°, low angle first:
index	2θ (°)	d (Å)	I_rel
1 1 -1	15.71	5.642	13
0 2 1	24.68	3.607	35
2 2 -1	26.70	3.339	100
1 1 1	28.15	3.170	17
1 1 -2	28.43	3.140	15
0 0 2	33.38	2.684	28
4 0 -2	39.28	2.293	21
2 2 1	42.99	2.104	21
2 2 -3	43.50	2.081	21
2 4 -2	45.56	1.991	14



# PrMnTe2
Simulated X-ray diffraction stick pattern, λ = 1.5418 Å (Cu Kα). Input: a DFT-relaxed cell (GGA-PBE, Alexandria).
Peak positions follow from Bragg's law for the DFT cell and can differ from measured ones.

Structure:
a = 4.5095 Å, b = 11.5149 Å, c = 6.4897 Å
α = 90.00°, β = 134.00°, γ = 90.00°
Space group Pc (No. 7)
Unique sites:
Pr 0.0000 0.1327 0.0000 [2 per cell]
Mn 0.2363 0.3690 0.7354 [2 per cell]
Te 0.0026 0.1478 0.5026 [2 per cell]
Te 0.0520 0.4008 0.0511 [2 per cell]

Principal peaks in the range 10° ≤ 2θ ≤ 90°, low angle first:
index	2θ (°)	d (Å)	I_rel
0 3 0	23.17	3.838	11
1 0 -2	27.50	3.243	100
1 1 0	28.59	3.122	11
0 3 1	30.14	2.965	11
0 4 0	31.07	2.879	36
1 3 0	36.26	2.477	24
0 0 2	38.57	2.334	13
2 0 -2	39.99	2.255	23
1 4 -2	41.96	2.153	49
2 4 -2	51.48	1.775	17



# Li2Ac3Cd2
Simulated X-ray diffraction stick pattern, λ = 1.5418 Å (Cu Kα). Input: a DFT-relaxed cell (GGA-PBE, Alexandria).
Peak positions follow from Bragg's law for the DFT cell and can differ from measured ones.

Structure:
a = 5.6966 Å, b = 5.6966 Å, c = 27.3431 Å
α = 90.00°, β = 90.00°, γ = 120.00°
Space group R-3m (No. 166, hexagonal axes)
Unique sites:
Li 0.0000 0.0000 0.1267 [6 per cell]
Ac 0.0000 0.0000 0.0000 [3 per cell]
Ac 0.0000 0.0000 0.2549 [6 per cell]
Cd 0.0000 0.0000 0.3862 [6 per cell]

Principal peaks in the range 10° ≤ 2θ ≤ 90°, low angle first:
index	2θ (°)	d (Å)	I_rel
1 0 4	22.22	4.000	51
0 1 5	24.30	3.663	30
1 1 0	31.41	2.848	100
0 1 8	31.85	2.810	86
1 1 3	32.95	2.719	31
1 1 6	37.23	2.415	15
2 0 8	45.34	2.000	33
3 0 0	55.91	1.644	20
1 2 8	56.19	1.637	35
3 1 8	74.73	1.270	15



# PbI3Br9
Simulated X-ray diffraction stick pattern, λ = 1.5418 Å (Cu Kα). Input: a DFT-relaxed cell (GGA-PBE, Alexandria).
Peak positions follow from Bragg's law for the DFT cell and can differ from measured ones.

Structure:
a = 22.4904 Å, b = 7.5174 Å, c = 17.9578 Å
α = 90.00°, β = 117.83°, γ = 90.00°
Space group Cc (No. 9)
Unique sites:
Pb 0.0000 0.0072 0.0000 [4 per cell]
I 0.2202 0.0946 0.6200 [4 per cell]
I 0.2762 0.3091 0.3656 [4 per cell]
I 0.4961 0.3150 0.2459 [4 per cell]
Br 0.0637 0.2120 0.9161 [4 per cell]
Br 0.0766 0.2095 0.1384 [4 per cell]
Br 0.0947 0.2787 0.5413 [4 per cell]
Br 0.1510 0.4445 0.2717 [4 per cell]
Br 0.2444 0.2029 0.4918 [4 per cell]
Br 0.3341 0.0722 0.1972 [4 per cell]
Br 0.4007 0.1800 0.4579 [4 per cell]
Br 0.4140 0.3460 0.8593 [4 per cell]
Br 0.4278 0.3145 0.0753 [4 per cell]

Principal peaks in the range 10° ≤ 2θ ≤ 90°, low angle first:
index	2θ (°)	d (Å)	I_rel
2 0 -2	10.52	8.407	53
1 1 0	12.59	7.032	67
1 1 1	14.59	6.070	77
1 1 -2	15.39	5.757	100
3 1 -1	16.71	5.304	50
3 1 0	17.84	4.972	72
3 1 -3	19.78	4.488	95
4 2 -1	28.70	3.111	45
6 2 0	36.14	2.485	36
1 3 2	38.58	2.334	35



# PrSm2Er4
Simulated X-ray diffraction stick pattern, λ = 1.5418 Å (Cu Kα). Input: a DFT-relaxed cell (GGA-PBE, Alexandria).
Peak positions follow from Bragg's law for the DFT cell and can differ from measured ones.

Structure:
a = 16.7490 Å, b = 3.5389 Å, c = 8.7758 Å
α = 90.00°, β = 119.73°, γ = 90.00°
Space group C2/m (No. 12)
Unique sites:
Pr 0.0000 0.0000 0.0000 [2 per cell]
Sm 0.0692 0.0000 0.4285 [4 per cell]
Er 0.1462 0.5000 0.8410 [4 per cell]
Er 0.2070 0.5000 0.2941 [4 per cell]

Principal peaks in the range 10° ≤ 2θ ≤ 90°, low angle first:
index	2θ (°)	d (Å)	I_rel
3 1 -1	30.01	2.978	37
3 1 0	31.29	2.858	51
2 0 2	31.43	2.847	100
6 0 -1	32.75	2.735	45
1 1 -2	32.98	2.716	46
1 1 -3	41.65	2.168	14
7 1 -3	48.02	1.895	20
8 0 1	57.63	1.599	17
2 2 2	61.73	1.503	29
6 2 -1	62.52	1.486	14



# Hf2Zr7Tl2
Simulated X-ray diffraction stick pattern, λ = 1.5418 Å (Cu Kα). Input: a DFT-relaxed cell (GGA-PBE, Alexandria).
Peak positions follow from Bragg's law for the DFT cell and can differ from measured ones.

Structure:
a = 6.0588 Å, b = 10.5270 Å, c = 8.5875 Å
α = 90.00°, β = 90.00°, γ = 90.00°
Space group Cmmm (No. 65)
Unique sites:
Hf 0.0000 0.2291 0.0000 [4 per cell]
Zr 0.0000 0.0000 0.1806 [4 per cell]
Zr 0.0000 0.5000 0.0000 [2 per cell]
Zr 0.2500 0.2500 0.3115 [8 per cell]
Tl 0.2454 0.5000 0.5000 [4 per cell]

Principal peaks in the range 10° ≤ 2θ ≤ 90°, low angle first:
index	2θ (°)	d (Å)	I_rel
0 2 1	19.78	4.487	46
2 0 1	31.31	2.857	100
0 4 0	34.07	2.632	62
0 2 3	35.71	2.515	87
2 2 2	40.26	2.240	98
2 4 1	46.94	1.936	65
0 4 4	55.25	1.663	26
2 0 5	62.09	1.495	36
0 0 6	65.18	1.431	26
2 4 5	72.78	1.299	30



# Pm2Pr3Y4
Simulated X-ray diffraction stick pattern, λ = 1.5418 Å (Cu Kα). Input: a DFT-relaxed cell (GGA-PBE, Alexandria).
Peak positions follow from Bragg's law for the DFT cell and can differ from measured ones.

Structure:
a = 16.8005 Å, b = 11.8956 Å, c = 6.1479 Å
α = 90.00°, β = 97.79°, γ = 90.00°
Space group C2/c (No. 15)
Unique sites:
Pm 0.1145 0.1300 0.3102 [8 per cell]
Pr 0.0000 0.1149 0.7500 [4 per cell]
Pr 0.1665 0.3830 0.5846 [8 per cell]
Y 0.0529 0.3732 0.0261 [8 per cell]
Y 0.2203 0.1268 0.8595 [8 per cell]

Principal peaks in the range 10° ≤ 2θ ≤ 90°, low angle first:
index	2θ (°)	d (Å)	I_rel
5 1 -1	29.75	3.003	51
0 4 0	30.05	2.973	100
4 2 1	31.46	2.844	88
5 3 -1	36.77	2.444	30
1 3 -2	37.03	2.428	27
5 5 -1	48.20	1.888	12
1 5 -2	48.40	1.881	14
9 1 0	49.90	1.827	12
4 6 1	54.25	1.691	18
6 2 -3	54.49	1.684	18



# Rb2Sn3Se8
Simulated X-ray diffraction stick pattern, λ = 1.5418 Å (Cu Kα). Input: a DFT-relaxed cell (GGA-PBE, Alexandria).
Peak positions follow from Bragg's law for the DFT cell and can differ from measured ones.

Structure:
a = 17.7972 Å, b = 7.6139 Å, c = 7.0828 Å
α = 90.00°, β = 107.94°, γ = 90.00°
Space group C2/m (No. 12)
Unique sites:
Rb 0.2358 0.0000 0.1994 [4 per cell]
Sn 0.0000 0.2472 0.5000 [4 per cell]
Sn 0.0000 0.5000 0.0000 [2 per cell]
Se 0.0922 0.5000 0.3936 [4 per cell]
Se 0.0959 0.0000 0.4407 [4 per cell]
Se 0.0971 0.2819 0.8844 [8 per cell]

Principal peaks in the range 10° ≤ 2θ ≤ 90°, low angle first:
index	2θ (°)	d (Å)	I_rel
2 0 0	10.45	8.466	100
1 1 0	12.75	6.944	18
1 1 1	19.50	4.553	40
3 1 -1	20.73	4.285	18
2 2 -1	27.37	3.259	29
2 0 2	31.46	2.844	52
4 2 -1	31.67	2.826	83
4 2 1	36.89	2.436	21
6 2 -1	38.64	2.330	23
2 2 -3	45.23	2.005	55



# Sm2MgURu2
Simulated X-ray diffraction stick pattern, λ = 1.5418 Å (Cu Kα). Input: a DFT-relaxed cell (GGA-PBE, Alexandria).
Peak positions follow from Bragg's law for the DFT cell and can differ from measured ones.

Structure:
a = 6.2514 Å, b = 14.4748 Å, c = 6.2503 Å
α = 90.00°, β = 90.00°, γ = 90.00°
Space group Ibam (No. 72)
Unique sites:
Sm 0.2152 0.1803 0.0000 [8 per cell]
Mg 0.0000 0.0000 0.2500 [4 per cell]
U 0.0000 0.5000 0.2500 [4 per cell]
Ru 0.1962 0.3878 0.0000 [8 per cell]

Principal peaks in the range 10° ≤ 2θ ≤ 90°, low angle first:
index	2θ (°)	d (Å)	I_rel
1 1 0	15.44	5.739	80
1 3 0	23.29	3.820	32
0 2 2	31.17	2.869	100
1 4 1	31.96	2.800	69
2 1 1	32.62	2.745	38
0 4 2	38.04	2.365	82
2 0 2	40.83	2.210	69
1 6 1	42.71	2.117	28
1 4 3	52.77	1.735	27
2 6 2	56.44	1.630	30



# Co6W7
Simulated X-ray diffraction stick pattern, λ = 1.5418 Å (Cu Kα). Input: a DFT-relaxed cell (GGA-PBE, Alexandria).
Peak positions follow from Bragg's law for the DFT cell and can differ from measured ones.

Structure:
a = 5.1184 Å, b = 5.1184 Å, c = 25.8092 Å
α = 90.00°, β = 90.00°, γ = 120.00°
Space group R-3m (No. 166, hexagonal axes)
Unique sites:
Co 0.0000 0.0000 0.0440 [6 per cell]
Co 0.0000 0.0000 0.1505 [6 per cell]
Co 0.0000 0.0000 0.3333 [6 per cell]
W 0.0000 0.0000 0.5000 [3 per cell]
W 0.0029 0.5014 0.9156 [18 per cell]

Principal peaks in the range 10° ≤ 2θ ≤ 90°, low angle first:
index	2θ (°)	d (Å)	I_rel
1 0 1	20.33	4.369	65
0 0 6	20.65	4.302	78
0 2 1	40.87	2.208	69
1 1 6	41.04	2.199	100
2 0 2	41.33	2.184	44
0 0 12	42.01	2.151	47
0 1 11	43.65	2.074	42
2 0 5	44.49	2.037	96
0 2 7	47.89	1.900	67
2 2 0	74.08	1.280	50



What did the twelfth record say?
# Co6W7
Simulated X-ray diffraction stick pattern, λ = 1.5418 Å (Cu Kα). Input: a DFT-relaxed cell (GGA-PBE, Alexandria).
Peak positions follow from Bragg's law for the DFT cell and can differ from measured ones.

Structure:
a = 5.1184 Å, b = 5.1184 Å, c = 25.8092 Å
α = 90.00°, β = 90.00°, γ = 120.00°
Space group R-3m (No. 166, hexagonal axes)
Unique sites:
Co 0.0000 0.0000 0.0440 [6 per cell]
Co 0.0000 0.0000 0.1505 [6 per cell]
Co 0.0000 0.0000 0.3333 [6 per cell]
W 0.0000 0.0000 0.5000 [3 per cell]
W 0.0029 0.5014 0.9156 [18 per cell]

Principal peaks in the range 10° ≤ 2θ ≤ 90°, low angle first:
index	2θ (°)	d (Å)	I_rel
1 0 1	20.33	4.369	65
0 0 6	20.65	4.302	78
0 2 1	40.87	2.208	69
1 1 6	41.04	2.199	100
2 0 2	41.33	2.184	44
0 0 12	42.01	2.151	47
0 1 11	43.65	2.074	42
2 0 5	44.49	2.037	96
0 2 7	47.89	1.900	67
2 2 0	74.08	1.280	50